No. 1
The following is a computed powder X-ray diffraction pattern of Ac2AlSi2. It was derived from a structure optimized by DFT (GGA-PBE), using CuKα.
Kinematic intensities with the Lorentz-polarization factor, no thermal factor.

Most intense lines, 10 to 90 degrees two-theta, by angle:
2θ = 21.1°, d 4.220, I 74
2θ = 23.4°, d 3.796, I 88
2θ = 24.1°, d 3.688, I 53
2θ = 25.6°, d 3.483, I 97
2θ = 28.2°, d 3.170, I 100
2θ = 32.8°, d 2.729, I 92
2θ = 34.9°, d 2.568, I 100
2θ = 41.6°, d 2.172, I 65

Structural model:
Cell: 9.0330 9.0330 7.5913 Å, 90.00 90.00 152.15°
Element x y z (fractional)
Ac (0.0324, 0.9676, 0.5000)
Ac (0.2098, 0.7902, 0.8317)
Ac (0.7902, 0.2098, 0.3317)
Ac (0.9676, 0.0324, 0.0000)
Al (0.3935, 0.6065, 0.6281)
Al (0.6065, 0.3935, 0.1281)
Si (0.1654, 0.8346, 0.2344)
Si (0.4256, 0.5744, 0.3043)
Si (0.5744, 0.4256, 0.8043)
Si (0.8346, 0.1654, 0.7344)

No. 2
The following is a computed powder X-ray diffraction pattern of Ac2AlSn3. It was derived from a structure optimized by DFT (GGA-PBE), using CuKα.
Kinematic intensities with the Lorentz-polarization factor, no thermal factor.

Most intense lines, 10 to 90 degrees two-theta, by angle:
2θ = 21.0°, d 4.230, I 16
2θ = 28.9°, d 3.091, I 49
2θ = 29.1°, d 3.073, I 100
2θ = 36.5°, d 2.461, I 46
2θ = 36.9°, d 2.433, I 22
2θ = 40.3°, d 2.236, I 18
2θ = 47.6°, d 1.912, I 25
2θ = 55.5°, d 1.655, I 28

Structural model:
Cell: 9.8443 9.6553 6.6081 Å, 71.74 68.66 39.60°
Element x y z (fractional)
Ac (0.2430, 0.7570, 0.7570)
Ac (0.2500, 0.2500, 0.2500)
Ac (0.7500, 0.7500, 0.7500)
Ac (0.7570, 0.2430, 0.2430)
Al (0.3333, 0.3333, 0.6667)
Al (0.6667, 0.6667, 0.3333)
Sn (0.1752, 0.1752, 0.8248)
Sn (0.1769, 0.6514, 0.3486)
Sn (0.3486, 0.8231, 0.1769)
Sn (0.6514, 0.1769, 0.8231)
Sn (0.8231, 0.3486, 0.6514)
Sn (0.8248, 0.8248, 0.1752)

No. 3
The following is a computed powder X-ray diffraction pattern of Ac3AlSn2. It was derived from a structure optimized by DFT (GGA-PBE), using CuKα.
Kinematic intensities with the Lorentz-polarization factor, no thermal factor.

Most intense lines, 10 to 90 degrees two-theta, by angle:
2θ = 24.1°, d 3.688, I 65
2θ = 26.8°, d 3.322, I 41
2θ = 27.7°, d 3.217, I 100
2θ = 28.5°, d 3.133, I 63
2θ = 30.8°, d 2.902, I 38
2θ = 35.7°, d 2.512, I 34
2θ = 38.3°, d 2.350, I 39
2θ = 47.9°, d 1.899, I 32

Structural model:
Cell: 13.3234 4.7006 13.2419 Å, 90.00 90.00 90.00°
Element x y z (fractional)
Ac (0.0585, 0.2500, 0.1186)
Ac (0.1205, 0.7500, 0.5560)
Ac (0.2108, 0.2500, 0.7905)
Ac (0.2892, 0.7500, 0.2905)
Ac (0.3795, 0.2500, 0.0560)
Ac (0.4415, 0.7500, 0.6186)
Ac (0.5585, 0.2500, 0.3814)
Ac (0.6205, 0.7500, 0.9440)
Ac (0.7108, 0.2500, 0.7095)
Ac (0.7892, 0.7500, 0.2095)
Ac (0.8795, 0.2500, 0.4440)
Ac (0.9415, 0.7500, 0.8814)
Al (0.1301, 0.2500, 0.3666)
Al (0.3699, 0.7500, 0.8666)
Al (0.6301, 0.2500, 0.1334)
Al (0.8699, 0.7500, 0.6334)
Sn (0.0218, 0.7500, 0.3109)
Sn (0.1931, 0.7500, 0.9899)
Sn (0.3069, 0.2500, 0.4899)
Sn (0.4782, 0.2500, 0.8109)
Sn (0.5218, 0.7500, 0.1891)
Sn (0.6931, 0.7500, 0.5101)
Sn (0.8069, 0.2500, 0.0101)
Sn (0.9782, 0.2500, 0.6891)

No. 4
The following is a computed powder X-ray diffraction pattern of Ac3Al8Sn. It was derived from a structure optimized by DFT (GGA-PBE), using CuKα.
Kinematic intensities with the Lorentz-polarization factor, no thermal factor.

Most intense lines, 10 to 90 degrees two-theta, by angle:
2θ = 18.4°, d 4.827, I 30
2θ = 18.6°, d 4.767, I 100
2θ = 30.4°, d 2.942, I 92
2θ = 30.7°, d 2.915, I 92
2θ = 35.7°, d 2.512, I 48
2θ = 36.0°, d 2.495, I 82
2θ = 36.1°, d 2.487, I 44
2θ = 54.3°, d 1.688, I 37

Structural model:
Cell: 10.2234 10.2234 10.2234 Å, 33.13 33.13 33.13°
Element x y z (fractional)
Ac (0.0000, 0.0000, 0.0000)
Ac (0.1283, 0.1283, 0.1283)
Ac (0.5050, 0.5050, 0.5050)
Al (0.0654, 0.5642, 0.5642)
Al (0.0674, 0.0674, 0.5648)
Al (0.0674, 0.5648, 0.0674)
Al (0.3132, 0.3132, 0.3132)
Al (0.5642, 0.0654, 0.5642)
Al (0.5642, 0.5642, 0.0654)
Al (0.5648, 0.0674, 0.0674)
Al (0.8179, 0.8179, 0.8179)
Sn (0.6215, 0.6215, 0.6215)

No. 5
The following is a computed powder X-ray diffraction pattern of Ac2Al3Sn2. It was derived from a structure optimized by DFT (GGA-PBE), using CuKα.
Kinematic intensities with the Lorentz-polarization factor, no thermal factor.

Most intense lines, 10 to 90 degrees two-theta, by angle:
2θ = 21.2°, d 4.198, I 55
2θ = 25.2°, d 3.533, I 55
2θ = 28.7°, d 3.113, I 38
2θ = 29.4°, d 3.038, I 100
2θ = 33.6°, d 2.666, I 67
2θ = 37.9°, d 2.377, I 56
2θ = 40.2°, d 2.244, I 28
2θ = 40.5°, d 2.229, I 28

Structural model:
Cell: 6.6338 6.6338 7.0903 Å, 94.52 94.52 39.27°
Element x y z (fractional)
Ac (0.1452, 0.1452, 0.2179)
Ac (0.8548, 0.8548, 0.7821)
Al (0.4349, 0.4349, 0.1311)
Al (0.5000, 0.5000, 0.5000)
Al (0.5651, 0.5651, 0.8689)
Sn (0.1459, 0.1459, 0.7037)
Sn (0.8541, 0.8541, 0.2963)

No. 6
The following is a computed powder X-ray diffraction pattern of AcAlSn2. It was derived from a structure optimized by DFT (GGA-PBE), using CuKα.
Kinematic intensities with the Lorentz-polarization factor, no thermal factor.

Most intense lines, 10 to 90 degrees two-theta, by angle:
2θ = 26.9°, d 3.319, I 100
2θ = 27.1°, d 3.293, I 80
2θ = 30.3°, d 2.947, I 70
2θ = 31.1°, d 2.876, I 68
2θ = 31.2°, d 2.864, I 78
2θ = 31.5°, d 2.840, I 71
2θ = 31.8°, d 2.814, I 64
2θ = 37.6°, d 2.394, I 65

Structural model:
Cell: 4.5724 4.7901 6.2835 Å, 110.66 109.62 90.41°
Element x y z (fractional)
Ac (0.0000, 0.0000, 0.0000)
Al (0.2029, 0.7637, 0.4886)
Sn (0.5167, 0.3362, 0.6388)
Sn (0.5832, 0.5777, 0.2015)